1.
Structure and theoretical powder XRD pattern of Ba8Ir2I (a crystal structure in Alexandria, relaxed with PBE; a wavelength of 1.5418 Å).
Neutral-atom scattering factors, no anomalous dispersion.

Main lines, sorted by position (15 to 90 degrees two-theta):
| Position (°2θ) | d [Å] | I (rel.) |
| --- | --- | --- |
| 16.6 | 5.338 | 64 |
| 16.7 | 5.298 | 66 |
| 19.2 | 4.622 | 59 |
| 23.7 | 3.760 | 74 |
| 27.6 | 3.233 | 41 |
| 29.0 | 3.077 | 34 |
| 33.6 | 2.669 | 100 |
| 33.8 | 2.649 | 60 |
| 44.0 | 2.058 | 64 |
| 45.0 | 2.016 | 28 |

Crystal structure
```
Ba8Ir2I
1.0
10.6751 0.0000 0.0000
-5.3376 9.2449 0.0000
0.0000 0.0000 6.4650
Ba Ir I
8 2 1
direct
0.1754 0.3538 0.2449 Ba
0.1784 0.8246 0.2449 Ba
0.3333 0.6667 0.7492 Ba
0.3538 0.1784 0.7551 Ba
0.6462 0.8216 0.2449 Ba
0.6667 0.3333 0.2508 Ba
0.8216 0.1754 0.7551 Ba
0.8246 0.6462 0.7551 Ba
0.3333 0.6667 0.2670 Ir
0.6667 0.3333 0.7330 Ir
0.0000 0.0000 0.5000 I
```

=====

2.
Structure and theoretical powder XRD pattern of KBa4I10 (a crystal structure in Alexandria, relaxed with PBE; a wavelength of 1.5418 Å).
Neutral-atom scattering factors, no anomalous dispersion.

Main lines, sorted by position (15 to 90 degrees two-theta):
| Position (°2θ) | d [Å] | I (rel.) |
| --- | --- | --- |
| 18.3 | 4.843 | 32 |
| 21.2 | 4.187 | 35 |
| 30.1 | 2.968 | 100 |
| 30.3 | 2.953 | 99 |
| 35.5 | 2.527 | 19 |
| 43.2 | 2.093 | 36 |
| 53.5 | 1.712 | 58 |
| 53.9 | 1.702 | 19 |
| 71.1 | 1.326 | 17 |
| 86.9 | 1.121 | 20 |

Crystal structure
```
KBa4I10
1.0
2.9682 1.7137 24.0518
-2.9682 1.7137 24.0518
0.0000 -3.4273 24.0518
K Ba I
1 4 10
direct
0.0000 0.0000 0.0000 K
0.2000 0.2000 0.2000 Ba
0.3995 0.3995 0.3995 Ba
0.6006 0.6006 0.6006 Ba
0.8000 0.8000 0.8000 Ba
0.0508 0.0508 0.0508 I
0.1499 0.1499 0.1499 I
0.2501 0.2501 0.2501 I
0.3504 0.3504 0.3504 I
0.4500 0.4500 0.4500 I
0.5500 0.5500 0.5500 I
0.6496 0.6496 0.6496 I
0.7499 0.7499 0.7499 I
0.8501 0.8501 0.8501 I
0.9492 0.9492 0.9492 I
```

=====

3.
Structure and theoretical powder XRD pattern of KBa2I5 (a crystal structure in Alexandria, relaxed with PBE; a wavelength of 1.5418 Å).
Neutral-atom scattering factors, no anomalous dispersion.

Main lines, sorted by position (15 to 90 degrees two-theta):
| Position (°2θ) | d [Å] | I (rel.) |
| --- | --- | --- |
| 19.9 | 4.452 | 55 |
| 22.7 | 3.922 | 42 |
| 27.3 | 3.269 | 100 |
| 28.6 | 3.117 | 46 |
| 29.8 | 2.994 | 36 |
| 30.8 | 2.907 | 69 |
| 34.5 | 2.596 | 46 |
| 36.8 | 2.440 | 24 |
| 44.6 | 2.031 | 23 |
| 45.5 | 1.994 | 28 |

Crystal structure
```
KBa2I5
1.0
-2.5958 4.3292 8.9810
2.5958 -4.3292 8.9810
2.5958 4.3292 -8.9810
K Ba I
1 2 5
direct
0.0000 0.0000 0.0000 K
0.3123 0.8123 0.5000 Ba
0.6877 0.1877 0.5000 Ba
0.0834 0.3504 0.7330 I
0.3826 0.6496 0.7330 I
0.5000 0.0000 0.5000 I
0.6174 0.3504 0.2670 I
0.9166 0.6496 0.2670 I
```